Entry 1:
Structure and calculated powder diffractogram of SrAcMnSe4 (a structure optimized by DFT (GGA-PBE); Cu Kα).

Largest 10 diffraction maxima, sorted by position, 5 to 70 degrees two-theta:
- 2θ = 18.8°, 4.710 Å, intensity 47
- 2θ = 27.4°, 3.255 Å, intensity 47
- 2θ = 28.1°, 3.172 Å, intensity 73
- 2θ = 28.4°, 3.145 Å, intensity 71
- 2θ = 30.4°, 2.938 Å, intensity 54
- 2θ = 31.4°, 2.852 Å, intensity 61
- 2θ = 31.6°, 2.832 Å, intensity 58
- 2θ = 34.9°, 2.568 Å, intensity 100
- 2θ = 38.2°, 2.355 Å, intensity 55
- 2θ = 41.2°, 2.193 Å, intensity 79

Atomic structure:
```
data_SrAcMnSe4
_space_group_name_H-M_alt 'P 1'
_space_group_IT_number 1
_space_group_name_Hall 'P 1'
_cell_length_a 7.186
_cell_length_b 6.510
_cell_length_c 8.777
_cell_angle_alpha 90.00
_cell_angle_beta 108.27
_cell_angle_gamma 90.00
loop_
_atom_site_label
_atom_site_type_symbol
_atom_site_fract_x
_atom_site_fract_y
_atom_site_fract_z
Sr1 Sr 0.239 0.250 0.059
Sr2 Sr 0.761 0.750 0.941
Ac1 Ac 0.270 0.250 0.569
Ac2 Ac 0.730 0.750 0.431
Mn1 Mn 0.242 0.750 0.812
Mn2 Mn 0.758 0.250 0.188
Se1 Se 0.006 0.508 0.263
Se2 Se 0.006 0.992 0.263
Se3 Se 0.415 0.750 0.096
Se4 Se 0.419 0.750 0.613
Se5 Se 0.581 0.250 0.387
Se6 Se 0.585 0.250 0.904
Se7 Se 0.994 0.008 0.737
Se8 Se 0.994 0.492 0.737
```

---

Entry 2:
Structure and calculated powder diffractogram of Tb6Ga2Os (a structure optimized by DFT (GGA-PBE); Cu Kα).

Largest 10 diffraction maxima, sorted by position, 5 to 70 degrees two-theta:
- 2θ = 21.9°, 4.055 Å, intensity 12
- 2θ = 22.2°, 4.006 Å, intensity 13
- 2θ = 25.4°, 3.513 Å, intensity 15
- 2θ = 25.6°, 3.479 Å, intensity 28
- 2θ = 36.2°, 2.483 Å, intensity 26
- 2θ = 36.3°, 2.472 Å, intensity 100
- 2θ = 36.9°, 2.438 Å, intensity 24
- 2θ = 52.6°, 1.739 Å, intensity 17
- 2θ = 65.2°, 1.431 Å, intensity 18
- 2θ = 66.1°, 1.414 Å, intensity 16

Atomic structure:
```
data_Tb6Ga2Os
_space_group_name_H-M_alt 'P 1'
_space_group_IT_number 1
_space_group_name_Hall 'P 1'
_cell_length_a 8.485
_cell_length_b 8.485
_cell_length_c 8.485
_cell_angle_alpha 145.98
_cell_angle_beta 131.08
_cell_angle_gamma 60.93
loop_
_atom_site_label
_atom_site_type_symbol
_atom_site_fract_x
_atom_site_fract_y
_atom_site_fract_z
Tb1 Tb 0.086 0.341 0.745
Tb2 Tb 0.236 0.000 0.236
Tb3 Tb 0.404 0.659 0.745
Tb4 Tb 0.596 0.341 0.255
Tb5 Tb 0.764 0.000 0.764
Tb6 Tb 0.914 0.659 0.255
Ga1 Ga 0.333 0.833 0.500
Ga2 Ga 0.667 0.167 0.500
Os1 Os 0.000 0.500 0.500
```

---

Entry 3:
Structure and calculated powder diffractogram of HoZr2Sc (a structure optimized by DFT (GGA-PBE); Cu Kα).

Largest 10 diffraction maxima, sorted by position, 5 to 70 degrees two-theta:
- 2θ = 15.6°, 5.671 Å, intensity 12
- 2θ = 20.8°, 4.265 Å, intensity 13
- 2θ = 33.2°, 2.699 Å, intensity 100
- 2θ = 33.5°, 2.673 Å, intensity 100
- 2θ = 38.4°, 2.347 Å, intensity 67
- 2θ = 39.4°, 2.286 Å, intensity 32
- 2θ = 56.2°, 1.637 Å, intensity 43
- 2θ = 65.9°, 1.417 Å, intensity 24
- 2θ = 66.5°, 1.407 Å, intensity 14
- 2θ = 66.5°, 1.405 Å, intensity 13

Atomic structure:
```
data_HoZr2Sc
_space_group_name_H-M_alt 'P 1'
_space_group_IT_number 1
_space_group_name_Hall 'P 1'
_cell_length_a 5.630
_cell_length_b 6.687
_cell_length_c 10.897
_cell_angle_alpha 90.00
_cell_angle_beta 100.90
_cell_angle_gamma 90.00
loop_
_atom_site_label
_atom_site_type_symbol
_atom_site_fract_x
_atom_site_fract_y
_atom_site_fract_z
Ho1 Ho 0.129 0.135 0.125
Ho2 Ho 0.129 0.865 0.625
Ho3 Ho 0.871 0.135 0.375
Ho4 Ho 0.871 0.865 0.875
Zr1 Zr 0.126 0.385 0.629
Zr2 Zr 0.126 0.615 0.129
Zr3 Zr 0.374 0.394 0.378
Zr4 Zr 0.374 0.606 0.878
Zr5 Zr 0.626 0.394 0.122
Zr6 Zr 0.626 0.606 0.622
Zr7 Zr 0.874 0.385 0.871
Zr8 Zr 0.874 0.615 0.371
Sc1 Sc 0.378 0.143 0.875
Sc2 Sc 0.378 0.857 0.375
Sc3 Sc 0.622 0.143 0.625
Sc4 Sc 0.622 0.857 0.125
```

---

Entry 4:
Structure and calculated powder diffractogram of CsAl (a structure optimized by DFT (GGA-PBE); Cu Kα).

Largest 10 diffraction maxima, sorted by position, 5 to 70 degrees two-theta:
- 2θ = 15.6°, 5.670 Å, intensity 23
- 2θ = 23.3°, 3.816 Å, intensity 53
- 2θ = 24.4°, 3.644 Å, intensity 100
- 2θ = 25.2°, 3.535 Å, intensity 80
- 2θ = 28.2°, 3.163 Å, intensity 34
- 2θ = 33.8°, 2.653 Å, intensity 19
- 2θ = 36.9°, 2.435 Å, intensity 32
- 2θ = 42.6°, 2.122 Å, intensity 19
- 2θ = 46.0°, 1.973 Å, intensity 30
- 2θ = 47.7°, 1.906 Å, intensity 20

Atomic structure:
```
data_CsAl
_space_group_name_H-M_alt 'P 1'
_space_group_IT_number 1
_space_group_name_Hall 'P 1'
_cell_length_a 7.135
_cell_length_b 7.135
_cell_length_c 4.755
_cell_angle_alpha 90.00
_cell_angle_beta 90.00
_cell_angle_gamma 127.37
loop_
_atom_site_label
_atom_site_type_symbol
_atom_site_fract_x
_atom_site_fract_y
_atom_site_fract_z
Cs1 Cs 0.154 0.846 0.750
Cs2 Cs 0.846 0.154 0.250
Al1 Al 0.466 0.534 0.750
Al2 Al 0.534 0.466 0.250
```